Calculated powder diffractogram
Compound: Sr2CuBr2O2
Radiation: copper Kα
Structure: a GGA-PBE-relaxed structure
Peak positions follow from Bragg's law for the DFT cell and can differ from measured ones.

Peak list (10 most intense, 10 to 80 degrees two-theta, most intense first)
- hkl 0 0 2, d = 3.286 Å, 27.14 deg, intensity 100.0
- hkl 2 0 2, d = 1.973 Å, 45.99 deg, intensity 90.3
- hkl 2 0 0, d = 2.468 Å, 36.40 deg, intensity 90.1
- hkl 1 1 0, d = 3.490 Å, 25.52 deg, intensity 65.5
- hkl 1 1 2, d = 2.392 Å, 37.60 deg, intensity 47.6
- hkl 2 2 2, d = 1.541 Å, 60.03 deg, intensity 39.4
- hkl 2 2 0, d = 1.745 Å, 52.43 deg, intensity 30.1
- hkl 2 0 4, d = 1.368 Å, 68.62 deg, intensity 26.6
- hkl 3 1 2, d = 1.410 Å, 66.29 deg, intensity 19.2
- hkl 1 0 1, d = 3.947 Å, 22.53 deg, intensity 15.4

Atomic structure:
```
data_Sr2CuBr2O2
_chemical_formula_sum 'Sr2 Cu1 Br2 O2'
_symmetry_space_group_name_H-M 'P 4/m m m'
_symmetry_Int_Tables_number 123
_symmetry_space_group_name_Hall '-P 4 2'
_cell_length_a 4.936
_cell_length_b 4.936
_cell_length_c 6.572
_cell_angle_alpha 90.00
_cell_angle_beta 90.00
_cell_angle_gamma 90.00
loop_
_atom_site_label
_atom_site_type_symbol
_atom_site_fract_x
_atom_site_fract_y
_atom_site_fract_z
_atom_site_occupancy
Sr1 Sr 0.000 0.500 0.000 1
Cu1 Cu 0.000 0.000 0.500 1
Br1 Br 0.000 0.500 0.500 1
O1 O 0.000 0.000 0.000 1
O2 O 0.500 0.500 0.000 1
```



Calculated powder diffractogram
Compound: Cs2BaP2O7
Radiation: copper Kα
Structure: a GGA-PBE-relaxed structure
Peak positions follow from Bragg's law for the DFT cell and can differ from measured ones.

Peak list (10 most intense, 10 to 80 degrees two-theta, most intense first)
- hkl 3 1 -2, d = 3.150 Å, 28.33 deg, intensity 100.0
- hkl 2 0 -4, d = 3.733 Å, 23.84 deg, intensity 95.4
- hkl 1 1 -4, d = 3.271 Å, 27.27 deg, intensity 80.2
- hkl 0 2 0, d = 3.137 Å, 28.45 deg, intensity 48.6
- hkl 2 0 2, d = 3.287 Å, 27.13 deg, intensity 40.2
- hkl 2 2 -4, d = 2.401 Å, 37.46 deg, intensity 34.9
- hkl 4 0 -6, d = 2.269 Å, 39.72 deg, intensity 34.1
- hkl 3 1 -8, d = 1.843 Å, 49.47 deg, intensity 32.1
- hkl 3 1 4, d = 1.848 Å, 49.30 deg, intensity 25.8
- hkl 1 3 -4, d = 1.837 Å, 49.63 deg, intensity 22.5

Atomic structure:
```
data_Cs2BaP2O7
_chemical_formula_sum 'Cs8 Ba4 P8 O28'
_symmetry_space_group_name_H-M 'P 1 21/c 1'
_symmetry_Int_Tables_number 14
_symmetry_space_group_name_Hall '-P 2ybc'
_cell_length_a 10.929
_cell_length_b 6.274
_cell_length_c 15.456
_cell_angle_alpha 90.00
_cell_angle_beta 117.85
_cell_angle_gamma 90.00
loop_
_atom_site_label
_atom_site_type_symbol
_atom_site_fract_x
_atom_site_fract_y
_atom_site_fract_z
_atom_site_occupancy
Cs1 Cs 0.018 0.236 0.156 1
Cs2 Cs 0.467 0.224 0.326 1
Ba1 Ba 0.260 0.242 0.509 1
P1 P 0.173 0.740 0.142 1
P2 P 0.324 0.723 0.365 1
O1 O 0.015 0.721 0.093 1
O2 O 0.215 0.685 0.755 1
O3 O 0.224 0.573 0.602 1
O4 O 0.246 0.528 0.145 1
O5 O 0.268 0.504 0.374 1
O6 O 0.312 0.607 0.932 1
O7 O 0.467 0.713 0.369 1
```



Calculated powder diffractogram
Compound: SrCaSmBiO6
Radiation: copper Kα
Structure: a GGA-PBE-relaxed structure
Peak positions follow from Bragg's law for the DFT cell and can differ from measured ones.

Peak list (10 most intense, 10 to 80 degrees two-theta, most intense first)
- hkl 1 1 2, d = 3.036 Å, 29.42 deg, intensity 100.0
- hkl 2 0 0, d = 2.993 Å, 29.85 deg, intensity 59.8
- hkl 3 1 2, d = 1.736 Å, 52.72 deg, intensity 48.8
- hkl 1 1 0, d = 4.233 Å, 20.98 deg, intensity 35.0
- hkl 2 2 0, d = 2.117 Å, 42.72 deg, intensity 27.4
- hkl 2 0 4, d = 1.761 Å, 51.91 deg, intensity 25.4
- hkl 0 0 2, d = 4.357 Å, 20.38 deg, intensity 21.4
- hkl 2 2 4, d = 1.518 Å, 61.04 deg, intensity 18.4
- hkl 0 0 4, d = 2.178 Å, 41.45 deg, intensity 17.5
- hkl 4 2 0, d = 1.339 Å, 70.32 deg, intensity 12.0

Atomic structure:
```
data_SrCaSmBiO6
_chemical_formula_sum 'Sr2 Ca2 Sm2 Bi2 O12'
_symmetry_space_group_name_H-M 'P 4 21 2'
_symmetry_Int_Tables_number 90
_symmetry_space_group_name_Hall 'P 4ab 2ab'
_cell_length_a 5.987
_cell_length_b 5.987
_cell_length_c 8.713
_cell_angle_alpha 90.00
_cell_angle_beta 90.00
_cell_angle_gamma 90.00
loop_
_atom_site_label
_atom_site_type_symbol
_atom_site_fract_x
_atom_site_fract_y
_atom_site_fract_z
_atom_site_occupancy
Sr1 Sr 0.000 0.000 0.000 1
Ca1 Ca 0.000 0.000 0.500 1
Sm1 Sm 0.000 0.500 0.253 1
Bi1 Bi 0.000 0.500 0.746 1
O1 O 0.000 0.500 0.506 1
O2 O 0.000 0.500 0.991 1
O3 O 0.158 0.820 0.743 1
```



Calculated powder diffractogram
Compound: TmMg16Al12
Radiation: copper Kα
Structure: a GGA-PBE-relaxed structure
Peak positions follow from Bragg's law for the DFT cell and can differ from measured ones.

Peak list (10 most intense, 10 to 80 degrees two-theta, most intense first)
- hkl 3 3 0, d = 2.482 Å, 36.20 deg, intensity 100.0
- hkl 1 1 0, d = 7.445 Å, 11.89 deg, intensity 48.7
- hkl 7 2 1, d = 1.433 Å, 65.10 deg, intensity 28.7
- hkl 3 2 1, d = 2.814 Å, 31.80 deg, intensity 24.2
- hkl 2 1 1, d = 4.298 Å, 20.66 deg, intensity 22.2
- hkl 3 3 2, d = 2.245 Å, 40.17 deg, intensity 20.2
- hkl 4 2 2, d = 2.149 Å, 42.04 deg, intensity 17.0
- hkl 5 5 0, d = 1.489 Å, 62.36 deg, intensity 14.6
- hkl 3 1 0, d = 3.330 Å, 26.78 deg, intensity 13.6
- hkl 5 2 1, d = 1.922 Å, 47.29 deg, intensity 10.9

Atomic structure:
```
data_TmMg16Al12
_chemical_formula_sum 'Tm2 Mg32 Al24'
_symmetry_space_group_name_H-M 'I -4 3 m'
_symmetry_Int_Tables_number 217
_symmetry_space_group_name_Hall 'I -4 2 3'
_cell_length_a 10.529
_cell_length_b 10.529
_cell_length_c 10.529
_cell_angle_alpha 90.00
_cell_angle_beta 90.00
_cell_angle_gamma 90.00
loop_
_atom_site_label
_atom_site_type_symbol
_atom_site_fract_x
_atom_site_fract_y
_atom_site_fract_z
_atom_site_occupancy
Tm1 Tm 0.000 0.000 0.000 1
Mg1 Mg 0.039 0.358 0.358 1
Mg2 Mg 0.178 0.178 0.822 1
Al1 Al 0.090 0.090 0.277 1
```



Calculated powder diffractogram
Compound: P
Radiation: copper Kα
Structure: a GGA-PBE-relaxed structure
Peak positions follow from Bragg's law for the DFT cell and can differ from measured ones.

Peak list (10 most intense, 10 to 80 degrees two-theta, most intense first)
- hkl 1 1 1, d = 4.488 Å, 19.78 deg, intensity 100.0
- hkl 2 0 0, d = 5.098 Å, 17.39 deg, intensity 46.2
- hkl 0 2 0, d = 4.523 Å, 19.63 deg, intensity 36.7
- hkl 2 4 1, d = 1.954 Å, 46.47 deg, intensity 25.2
- hkl 1 1 -3, d = 1.918 Å, 47.39 deg, intensity 20.4
- hkl 2 0 -1, d = 3.892 Å, 22.85 deg, intensity 17.5
- hkl 2 2 1, d = 2.944 Å, 30.36 deg, intensity 16.4
- hkl 0 0 1, d = 6.001 Å, 14.76 deg, intensity 15.6
- hkl 2 2 0, d = 3.383 Å, 26.34 deg, intensity 15.0
- hkl 3 3 -2, d = 1.805 Å, 50.56 deg, intensity 14.2

Atomic structure:
```
data_P
_chemical_formula_sum 'P16'
_symmetry_space_group_name_H-M 'C 1 2/m 1'
_symmetry_Int_Tables_number 12
_symmetry_space_group_name_Hall '-C 2y'
_cell_length_a 10.197
_cell_length_b 9.046
_cell_length_c 6.001
_cell_angle_alpha 90.00
_cell_angle_beta 90.20
_cell_angle_gamma 90.00
loop_
_atom_site_label
_atom_site_type_symbol
_atom_site_fract_x
_atom_site_fract_y
_atom_site_fract_z
_atom_site_occupancy
P1 P 0.150 0.122 0.253 1
P2 P 0.162 0.500 0.755 1
P3 P 0.218 0.000 0.550 1
```



Calculated powder diffractogram
Compound: Li4CuSbO6
Radiation: copper Kα
Structure: a GGA-PBE-relaxed structure
Peak positions follow from Bragg's law for the DFT cell and can differ from measured ones.

Peak list (10 most intense, 10 to 80 degrees two-theta, most intense first)
- hkl 0 0 2, d = 4.953 Å, 17.91 deg, intensity 100.0
- hkl 1 3 -3, d = 2.061 Å, 43.94 deg, intensity 46.8
- hkl 2 0 2, d = 2.321 Å, 38.80 deg, intensity 36.9
- hkl 1 1 -1, d = 4.314 Å, 20.59 deg, intensity 30.5
- hkl 1 3 -1, d = 2.501 Å, 35.91 deg, intensity 27.4
- hkl 0 2 2, d = 3.267 Å, 27.30 deg, intensity 25.5
- hkl 1 1 1, d = 4.094 Å, 21.71 deg, intensity 25.2
- hkl 2 0 0, d = 2.743 Å, 32.65 deg, intensity 21.5
- hkl 3 3 -1, d = 1.543 Å, 59.94 deg, intensity 17.1
- hkl 1 3 3, d = 1.987 Å, 45.66 deg, intensity 16.8

Atomic structure:
```
data_Li4CuSbO6
_chemical_formula_sum 'Li16 Cu4 Sb4 O24'
_symmetry_space_group_name_H-M 'C 1 2/c 1'
_symmetry_Int_Tables_number 15
_symmetry_space_group_name_Hall '-C 2yc'
_cell_length_a 5.504
_cell_length_b 8.679
_cell_length_c 9.938
_cell_angle_alpha 90.00
_cell_angle_beta 94.63
_cell_angle_gamma 90.00
loop_
_atom_site_label
_atom_site_type_symbol
_atom_site_fract_x
_atom_site_fract_y
_atom_site_fract_z
_atom_site_occupancy
Li1 Li 0.000 0.082 0.250 1
Li2 Li 0.232 0.073 0.997 1
Li3 Li 0.250 0.250 0.500 1
Cu1 Cu 0.000 0.413 0.250 1
Sb1 Sb 0.000 0.246 0.750 1
O1 O 0.101 0.426 0.637 1
O2 O 0.102 0.098 0.616 1
O3 O 0.154 0.259 0.150 1
```



Calculated powder diffractogram
Compound: V9InS12
Radiation: copper Kα
Structure: a GGA-PBE-relaxed structure
Peak positions follow from Bragg's law for the DFT cell and can differ from measured ones.

Peak list (10 most intense, 10 to 80 degrees two-theta, most intense first)
- hkl 4 1 3, d = 2.198 Å, 41.07 deg, intensity 100.0
- hkl 5 2 0, d = 2.206 Å, 40.91 deg, intensity 65.3
- hkl 6 0 3, d = 1.870 Å, 48.70 deg, intensity 45.9
- hkl 3 3 0, d = 2.650 Å, 33.82 deg, intensity 42.5
- hkl 2 2 0, d = 3.977 Å, 22.35 deg, intensity 35.7
- hkl 1 4 0, d = 3.003 Å, 29.75 deg, intensity 33.1
- hkl 1 1 0, d = 7.954 Å, 11.12 deg, intensity 30.6
- hkl 3 6 0, d = 1.736 Å, 52.74 deg, intensity 28.2
- hkl 2 2 3, d = 2.503 Å, 35.87 deg, intensity 24.1
- hkl 2 -1 3, d = 2.986 Å, 29.93 deg, intensity 23.5

Atomic structure:
```
data_V9InS12
_chemical_formula_sum 'V54 In6 S72'
_symmetry_space_group_name_H-M 'R -3'
_symmetry_Int_Tables_number 148
_symmetry_space_group_name_Hall '-R 3'
_cell_length_a 15.9084
_cell_length_b 15.9084
_cell_length_c 9.6644
_cell_angle_alpha 90.00
_cell_angle_beta 90.00
_cell_angle_gamma 120.00
loop_
_atom_site_label
_atom_site_type_symbol
_atom_site_fract_x
_atom_site_fract_y
_atom_site_fract_z
_atom_site_occupancy
V1 V 0.0446 0.4649 0.0842 1
V2 V 0.0454 0.4651 0.7504 1
V3 V 0.0456 0.4652 0.4157 1
In1 In 0.0000 0.0000 0.0000 1
In2 In 0.0000 0.0000 0.5000 1
S1 S 0.9999 0.3333 0.2497 1
S2 S 0.0802 0.8671 0.5836 1
S3 S 0.0804 0.8668 0.9159 1
S4 S 0.0803 0.8678 0.2506 1
```



Calculated powder diffractogram
Compound: CuBr2
Radiation: copper Kα
Structure: a GGA-PBE-relaxed structure
Peak positions follow from Bragg's law for the DFT cell and can differ from measured ones.

Peak list (10 most intense, 10 to 80 degrees two-theta, most intense first)
- hkl 2 0 0, d = 3.374 Å, 26.42 deg, intensity 100.0
- hkl 1 1 -2, d = 2.483 Å, 36.18 deg, intensity 85.2
- hkl 0 0 1, d = 6.194 Å, 14.30 deg, intensity 46.9
- hkl 1 1 2, d = 1.984 Å, 45.74 deg, intensity 43.7
- hkl 3 1 -2, d = 2.016 Å, 44.97 deg, intensity 43.6
- hkl 1 1 0, d = 3.100 Å, 28.80 deg, intensity 39.5
- hkl 2 2 0, d = 1.550 Å, 59.65 deg, intensity 28.4
- hkl 2 0 -1, d = 3.835 Å, 23.19 deg, intensity 24.0
- hkl 3 1 2, d = 1.385 Å, 67.66 deg, intensity 17.6
- hkl 0 2 0, d = 1.746 Å, 52.39 deg, intensity 14.4

Atomic structure:
```
data_CuBr2
_chemical_formula_sum 'Cu2 Br4'
_symmetry_space_group_name_H-M 'C 1 2/m 1'
_symmetry_Int_Tables_number 12
_symmetry_space_group_name_Hall '-C 2y'
_cell_length_a 7.692
_cell_length_b 3.493
_cell_length_c 7.061
_cell_angle_alpha 90.00
_cell_angle_beta 118.68
_cell_angle_gamma 90.00
loop_
_atom_site_label
_atom_site_type_symbol
_atom_site_fract_x
_atom_site_fract_y
_atom_site_fract_z
_atom_site_occupancy
Cu1 Cu 0.000 0.000 0.000 1
Br1 Br 0.009 0.500 0.242 1
```



Calculated powder diffractogram
Compound: MgSi2
Radiation: copper Kα
Structure: a GGA-PBE-relaxed structure
Peak positions follow from Bragg's law for the DFT cell and can differ from measured ones.

Peak list (10 most intense, 10 to 80 degrees two-theta, most intense first)
- hkl 0 1 1, d = 2.681 Å, 33.43 deg, intensity 100.0
- hkl 1 1 0, d = 1.858 Å, 49.03 deg, intensity 33.8
- hkl 1 0 2, d = 1.935 Å, 46.95 deg, intensity 29.2
- hkl 2 0 1, d = 1.527 Å, 60.64 deg, intensity 16.6
- hkl 0 0 1, d = 4.844 Å, 18.31 deg, intensity 11.5
- hkl 0 1 3, d = 1.443 Å, 64.57 deg, intensity 9.9
- hkl 0 2 2, d = 1.340 Å, 70.22 deg, intensity 8.7
- hkl 1 1 2, d = 1.474 Å, 63.06 deg, intensity 7.6
- hkl 0 0 2, d = 2.422 Å, 37.12 deg, intensity 6.4
- hkl 1 1 3, d = 1.219 Å, 78.47 deg, intensity 5.2

Atomic structure:
```
data_MgSi2
_chemical_formula_sum 'Mg1 Si2'
_symmetry_space_group_name_H-M 'P -3 m 1'
_symmetry_Int_Tables_number 164
_symmetry_space_group_name_Hall '-P 3 2"'
_cell_length_a 3.7161
_cell_length_b 3.7161
_cell_length_c 4.8442
_cell_angle_alpha 90.00
_cell_angle_beta 90.00
_cell_angle_gamma 120.00
loop_
_atom_site_label
_atom_site_type_symbol
_atom_site_fract_x
_atom_site_fract_y
_atom_site_fract_z
_atom_site_occupancy
Mg1 Mg 0.0000 0.0000 0.0000 1
Si1 Si 0.3333 0.6667 0.3965 1
```



Calculated powder diffractogram
Compound: GdO3
Radiation: copper Kα
Structure: a GGA-PBE-relaxed structure
Peak positions follow from Bragg's law for the DFT cell and can differ from measured ones.

Peak list (10 most intense, 10 to 80 degrees two-theta, most intense first)
- hkl 1 0 0, d = 5.269 Å, 16.83 deg, intensity 100.0
- hkl 1 0 1, d = 2.978 Å, 30.00 deg, intensity 95.5
- hkl 1 1 0, d = 3.042 Å, 29.36 deg, intensity 67.0
- hkl 2 1 1, d = 1.744 Å, 52.47 deg, intensity 60.4
- hkl 2 0 1, d = 2.128 Å, 42.48 deg, intensity 59.0
- hkl 3 0 0, d = 1.756 Å, 52.07 deg, intensity 21.0
- hkl 1 1 2, d = 1.552 Å, 59.55 deg, intensity 19.4
- hkl 1 3 1, d = 1.355 Å, 69.37 deg, intensity 18.6
- hkl 3 0 2, d = 1.259 Å, 75.53 deg, intensity 13.5
- hkl 2 0 0, d = 2.635 Å, 34.03 deg, intensity 12.8

Atomic structure:
```
data_GdO3
_chemical_formula_sum 'Gd2 O6'
_symmetry_space_group_name_H-M 'P 63/m'
_symmetry_Int_Tables_number 176
_symmetry_space_group_name_Hall '-P 6c'
_cell_length_a 6.0844
_cell_length_b 6.0844
_cell_length_c 3.6103
_cell_angle_alpha 90.00
_cell_angle_beta 90.00
_cell_angle_gamma 120.00
loop_
_atom_site_label
_atom_site_type_symbol
_atom_site_fract_x
_atom_site_fract_y
_atom_site_fract_z
_atom_site_occupancy
Gd1 Gd 0.3333 0.6667 0.2500 1
O1 O 0.0866 0.4096 0.7500 1
```



Calculated powder diffractogram
Compound: CeUFe4
Radiation: copper Kα
Structure: a GGA-PBE-relaxed structure
Peak positions follow from Bragg's law for the DFT cell and can differ from measured ones.

Peak list (10 most intense, 10 to 80 degrees two-theta, most intense first)
- hkl 3 1 1, d = 2.108 Å, 42.90 deg, intensity 100.0
- hkl 2 2 0, d = 2.472 Å, 36.34 deg, intensity 73.2
- hkl 5 1 1, d = 1.346 Å, 69.91 deg, intensity 31.0
- hkl 1 1 1, d = 4.037 Å, 22.02 deg, intensity 28.7
- hkl 4 2 2, d = 1.427 Å, 65.39 deg, intensity 27.3
- hkl 4 4 0, d = 1.236 Å, 77.18 deg, intensity 21.4
- hkl 2 2 2, d = 2.018 Å, 44.91 deg, intensity 12.4
- hkl 3 3 1, d = 1.604 Å, 57.45 deg, intensity 7.8
- hkl 2 0 0, d = 3.496 Å, 25.48 deg, intensity 4.9
- hkl 4 2 0, d = 1.563 Å, 59.09 deg, intensity 2.3

Atomic structure:
```
data_CeUFe4
_chemical_formula_sum 'Ce4 U4 Fe16'
_symmetry_space_group_name_H-M 'F -4 3 m'
_symmetry_Int_Tables_number 216
_symmetry_space_group_name_Hall 'F -4 2 3'
_cell_length_a 6.992
_cell_length_b 6.992
_cell_length_c 6.992
_cell_angle_alpha 90.00
_cell_angle_beta 90.00
_cell_angle_gamma 90.00
loop_
_atom_site_label
_atom_site_type_symbol
_atom_site_fract_x
_atom_site_fract_y
_atom_site_fract_z
_atom_site_occupancy
Ce1 Ce 0.000 0.000 0.000 1
U1 U 0.250 0.250 0.250 1
Fe1 Fe 0.125 0.125 0.625 1
```